# UTc3
Computed powder diffractogram, CuKα. Input: a DFT-relaxed cell (PBE, the Materials Project).
Intensities are scaled so that the largest is 100.

Largest 12 diffraction maxima, by intensity, 10 to 90 degrees two-theta:
2θ (°)  intensity  hkl
40.69  100.0  2 0 1
34.51  26.3  2 0 0
77.93  19.9  2 2 2
42.51  19.7  0 0 2
61.84  19.3  2 2 0
76.55  15.8  2 0 3
76.69  15.5  4 0 1
27.09  14.3  1 0 1
55.87  13.2  2 0 2
17.06  10.6  1 0 0
29.77  8.7  1 1 0
51.23  7.7  2 1 1

Crystal structure
abc: 6.001 6.001 4.253
angles: 90.00 90.00 120.00
Fractional coordinates of all 8 atoms:
U (0.333, 0.667, 0.250)
U (0.667, 0.333, 0.750)
Tc (0.171, 0.343, 0.750)
Tc (0.171, 0.829, 0.750)
Tc (0.343, 0.171, 0.250)
Tc (0.657, 0.829, 0.750)
Tc (0.829, 0.171, 0.250)
Tc (0.829, 0.657, 0.250)